Entry 1:
Structure and theoretical PXRD pattern of OsN2 (DFT lattice parameters and positions (GGA-PBE); copper Kα).
Intensities are scaled so that the largest is 100.

Atomic structure:
a b c (Å): 4.944 4.936 4.976
angles (deg): 90.00 112.91 90.00
Atoms (fractional coordinates):
Os  0.235  0.001  0.225
Os  0.235  0.499  0.725
Os  0.765  0.501  0.275
Os  0.765  0.999  0.775
N  0.192  0.597  0.307
N  0.192  0.903  0.807
N  0.321  0.094  0.676
N  0.321  0.406  0.176
N  0.679  0.594  0.824
N  0.679  0.906  0.324
N  0.808  0.097  0.193
N  0.808  0.403  0.693

The 10 most intense peaks (10° ≤ 2θ ≤ 90°), in order of rising 2θ:
2θ 28.16, rel. 100; 2θ 36.40, rel. 36; 2θ 37.53, rel. 41; 2θ 39.31, rel. 27; 2θ 39.58, rel. 29; 2θ 43.80, rel. 18; 2θ 54.65, rel. 19; 2θ 54.85, rel. 22; 2θ 58.22, rel. 16; 2θ 59.22, rel. 15

Entry 2:
Structure and theoretical PXRD pattern of ThSi2Tc2 (DFT lattice parameters and positions (GGA-PBE); copper Kα).
Intensities are scaled so that the largest is 100.

Atomic structure:
a b c (Å): 5.778 5.778 5.778
angles (deg): 136.67 136.67 62.95
Atoms (fractional coordinates):
Th  0.000  0.000  0.000
Si  0.370  0.370  0.000
Si  0.630  0.630  0.000
Tc  0.250  0.750  0.500
Tc  0.750  0.250  0.500

The 10 most intense peaks (10° ≤ 2θ ≤ 90°), in order of rising 2θ:
2θ 22.71, rel. 54; 2θ 34.46, rel. 42; 2θ 34.87, rel. 100; 2θ 36.47, rel. 17; 2θ 42.37, rel. 38; 2θ 48.61, rel. 16; 2θ 55.71, rel. 21; 2θ 57.11, rel. 19; 2θ 64.61, rel. 18; 2θ 72.66, rel. 24